The following is a simulated PXRD pattern of SbPbF7. It was derived from a GGA-PBE-relaxed structure, using Cu Kα X-rays.
No peak broadening, texture or thermal motion is included.

Largest 6 diffraction maxima, in order of falling intensity, 2θ from 10° to 90°:
hkl, 2θ (°), Rel. int.
1 1 0, 22.4, 100
0 0 2, 22.7, 68
1 -1 0, 21.7, 64
1 -1 1, 25.0, 64
1 1 2, 27.5, 53
2 2 2, 45.5, 52

Cell lengths 4.934, 7.389, 8.206 Å; angles 74.74, 82.47, 89.72 degrees
Fractional coordinates of all 18 atoms:
Sb 0.184 0.306 0.284
Sb 0.816 0.694 0.716
Pb 0.269 0.146 0.822
Pb 0.731 0.854 0.178
F 0.012 0.283 0.513
F 0.013 0.537 0.194
F 0.120 0.829 0.760
F 0.221 0.922 0.080
F 0.353 0.071 0.365
F 0.357 0.315 0.056
F 0.477 0.447 0.325
F 0.523 0.553 0.675
F 0.643 0.685 0.944
F 0.647 0.929 0.635
F 0.779 0.078 0.920
F 0.880 0.171 0.240
F 0.987 0.463 0.806
F 0.988 0.717 0.487